Entry 1:
Structure and calculated powder diffractogram of Tb2ZnSb4 (a GGA-PBE-relaxed structure; Cu Kα (weighted mean of Kα1 and Kα2)).
Lines closer than 0.1° are merged.

Atomic structure:
Unit cell a=4.3152 b=4.3152 c=10.0701 alpha=90.00 beta=90.00 gamma=90.00
Space group P-4m2 (No. 115)
One atom of each set of equivalent atoms:
Tb  0.0000  0.5000  0.2442 [2 per cell]
Zn  0.5000  0.5000  0.5000 [1 per cell]
Sb  0.0000  0.0000  0.0000 [1 per cell]
Sb  0.0000  0.5000  0.6605 [2 per cell]
Sb  0.5000  0.5000  0.0000 [1 per cell]

Top 10 peaks for 2θ from 10° to 90°, low angle first:
Position (°2θ), d (Å), I (rel.), (hkl)
26.55, 3.357, 130, 0 0 3
27.22, 3.277, 218, 1 0 2
30.61, 2.920, 210, 1 1 1
33.83, 2.649, 236, 1 0 3
34.37, 2.610, 1000, 1 1 2
41.87, 2.158, 408, 2 0 0
49.97, 1.825, 190, 1 0 5
60.70, 1.526, 134, 2 2 0
67.18, 1.393, 155, 2 1 5
71.65, 1.317, 231, 3 1 2

***

Entry 2:
Structure and calculated powder diffractogram of NaMo6Br13 (a GGA-PBE-relaxed structure; Cu Kα (weighted mean of Kα1 and Kα2)).
Lines closer than 0.1° are merged.

Atomic structure:
Unit cell a=9.5977 b=9.7439 c=14.9309 alpha=96.73 beta=101.51 gamma=115.40
Space group P-1 (No. 2)
One atom of each set of equivalent atoms:
Na  0.0019  0.2576  0.2291 [2 per cell]
Mo  0.3055  0.4934  0.9395 [2 per cell]
Mo  0.3176  0.8841  0.5382 [2 per cell]
Mo  0.3727  0.0411  0.4049 [2 per cell]
Mo  0.3995  0.2813  0.9763 [2 per cell]
Mo  0.4488  0.5105  0.1152 [2 per cell]
Mo  0.4598  0.8182  0.4164 [2 per cell]
Br  0.0355  0.4913  0.8592 [2 per cell]
Br  0.0582  0.7162  0.5878 [2 per cell]
Br  0.1554  0.7474  0.3645 [2 per cell]
Br  0.1576  0.2843  0.0301 [2 per cell]
Br  0.1900  0.0805  0.2645 [2 per cell]
Br  0.2355  0.1086  0.5260 [2 per cell]
Br  0.2578  0.2684  0.8037 [2 per cell]
Br  0.2600  0.9752  0.9387 [2 per cell]
Br  0.3535  0.7145  0.0747 [2 per cell]
Br  0.3875  0.5428  0.2913 [2 per cell]
Br  0.4071  0.6650  0.5494 [2 per cell]
Br  0.4590  0.6995  0.8497 [2 per cell]
Br  0.4810  0.0210  0.7122 [2 per cell]

Top 10 peaks for 2θ from 10° to 90°, low angle first:
Position (°2θ), d (Å), I (rel.), (hkl)
10.62, 8.327, 1000, 1 0 0
10.76, 8.220, 983, 0 1 -1
12.20, 7.254, 404, -1 1 1
12.43, 7.121, 424, 0 0 2
12.79, 6.920, 488, 1 -1 1
13.22, 6.696, 411, 0 1 1
13.93, 6.356, 302, 1 0 -2
27.86, 3.202, 209, 1 -1 4
28.96, 3.084, 258, 2 -3 1
42.72, 2.117, 276, 4 -2 2

***

Entry 3:
Structure and calculated powder diffractogram of CeSe2 (a GGA-PBE-relaxed structure; Cu Kα (weighted mean of Kα1 and Kα2)).
Lines closer than 0.1° are merged.

Atomic structure:
Unit cell a=6.6120 b=6.6120 c=8.7761 alpha=90.00 beta=90.00 gamma=90.00
Space group P4_12_12 (No. 92)
One atom of each set of equivalent atoms:
Ce  0.0248  0.0248  0.0000 [4 per cell]
Se  0.1802  0.2071  0.7295 [8 per cell]

Top 10 peaks for 2θ from 10° to 90°, low angle first:
Position (°2θ), d (Å), I (rel.), (hkl)
18.98, 4.675, 1000, 1 1 0
24.34, 3.656, 325, 1 0 2
27.88, 3.200, 573, 1 1 2
30.22, 2.957, 284, 2 1 0
36.65, 2.452, 945, 2 1 2
38.51, 2.338, 316, 2 2 0
41.16, 2.193, 279, 0 0 4
45.68, 1.986, 196, 1 1 4
46.09, 1.970, 536, 3 0 2
57.62, 1.600, 173, 2 2 4

***

Entry 4:
Structure and calculated powder diffractogram of Eu5Ga3 (a GGA-PBE-relaxed structure; Cu Kα (weighted mean of Kα1 and Kα2)).
Lines closer than 0.1° are merged.

Atomic structure:
Unit cell a=9.2326 b=16.1125 c=6.9319 alpha=90.00 beta=92.63 gamma=90.00
Space group C2/m (No. 12)
One atom of each set of equivalent atoms:
Eu  0.0000  0.1449  0.0000 [4 per cell]
Eu  0.0000  0.1840  0.5000 [4 per cell]
Eu  0.1319  0.3752  0.2391 [8 per cell]
Eu  0.2387  0.5000  0.7301 [4 per cell]
Ga  0.0844  0.0000  0.6696 [4 per cell]
Ga  0.2006  0.2969  0.8033 [8 per cell]

Top 10 peaks for 2θ from 10° to 90°, low angle first:
Position (°2θ), d (Å), I (rel.), (hkl)
27.66, 3.225, 171, 1 1 -2
29.40, 3.038, 270, 2 4 0
29.58, 3.020, 273, 3 1 0
31.59, 2.832, 272, 2 0 -2
31.85, 2.809, 1000, 2 4 -1
32.32, 2.770, 514, 1 5 1
32.61, 2.746, 361, 1 3 2
32.89, 2.723, 239, 3 1 1
33.06, 2.710, 170, 2 0 2
33.59, 2.668, 341, 3 3 0

***

Entry 5:
Structure and calculated powder diffractogram of Ag11Hg9 (a GGA-PBE-relaxed structure; Cu Kα (weighted mean of Kα1 and Kα2)).
Lines closer than 0.1° are merged.

Atomic structure:
Unit cell a=3.2191 b=3.2191 c=46.7425 alpha=90.00 beta=90.00 gamma=120.00
Space group P3m1 (No. 156)
One atom of each set of equivalent atoms:
Ag  0.0000  0.0000  0.0000 [1 per cell]
Ag  0.0000  0.0000  0.0946 [1 per cell]
Ag  0.0000  0.0000  0.3035 [1 per cell]
Ag  0.0000  0.0000  0.4012 [1 per cell]
Ag  0.0000  0.0000  0.5002 [1 per cell]
Ag  0.0000  0.0000  0.6005 [1 per cell]
Ag  0.0000  0.0000  0.7010 [1 per cell]
Ag  0.0000  0.0000  0.8024 [1 per cell]
Ag  0.0000  0.0000  0.8988 [1 per cell]
Ag  0.6667  0.3333  0.0476 [1 per cell]
Ag  0.6667  0.3333  0.8506 [1 per cell]
Hg  0.0000  0.0000  0.1994 [1 per cell]
Hg  0.6667  0.3333  0.1442 [1 per cell]
Hg  0.6667  0.3333  0.2545 [1 per cell]
Hg  0.6667  0.3333  0.3520 [1 per cell]
Hg  0.6667  0.3333  0.4507 [1 per cell]
Hg  0.6667  0.3333  0.5502 [1 per cell]
Hg  0.6667  0.3333  0.6508 [1 per cell]
Hg  0.6667  0.3333  0.7515 [1 per cell]
Hg  0.6667  0.3333  0.9496 [1 per cell]

Top 10 peaks for 2θ from 10° to 90°, low angle first:
Position (°2θ), d (Å), I (rel.), (hkl)
18.99, 4.674, 44, 0 0 10
32.11, 2.788, 294, 1 0 0
37.57, 2.394, 1000, 0 1 10
38.52, 2.337, 190, 0 0 20
50.99, 1.791, 142, 1 0 20
57.24, 1.610, 196, 1 1 0
67.15, 1.394, 39, 2 0 0
69.06, 1.360, 136, 0 1 30
70.50, 1.336, 157, 2 0 10
71.12, 1.326, 191, 1 1 20